Starting from a crystal structure in Alexandria, relaxed with GGA-PBE, the XRD peak list of Sc3Al3IrRu2 was simulated for a wavelength of 1.5418 Å.
Lines closer than 0.1° are merged.

The 12 most intense peaks (2θ = 10–90°), in order of rising 2θ:
- 15.31 deg, I = 18
- 26.68 deg, I = 79
- 27.09 deg, I = 81
- 34.99 deg, I = 17
- 38.39 deg, I = 100
- 45.32 deg, I = 23
- 47.11 deg, I = 36
- 47.36 deg, I = 63
- 53.37 deg, I = 24
- 62.33 deg, I = 16
- 67.44 deg, I = 24
- 75.44 deg, I = 24

Crystal structure
a = 6.6823 Å, b = 6.6823 Å, c = 4.0018 Å
α = 90.00°, β = 90.00°, γ = 120.00°
Atoms (fractional coordinates):
Sc: 0.0000 0.5854 0.0000
Sc: 0.4146 0.4146 0.0000
Sc: 0.5854 0.0000 0.0000
Al: 0.0000 0.2443 0.5000
Al: 0.2443 0.0000 0.5000
Al: 0.7557 0.7557 0.5000
Ir: 0.0000 0.0000 0.0000
Ru: 0.3333 0.6667 0.5000
Ru: 0.6667 0.3333 0.5000

=====

Starting from a crystal structure in Alexandria, relaxed with GGA-PBE, the XRD peak list of Cs2SiP was simulated for a wavelength of 1.5418 Å.
Lines closer than 0.1° are merged.

The 12 most intense peaks (2θ = 10–90°), in order of rising 2θ:
- 17.56 deg, I = 35
- 23.00 deg, I = 100
- 23.98 deg, I = 15
- 28.92 deg, I = 51
- 29.08 deg, I = 100
- 32.62 deg, I = 25
- 32.90 deg, I = 24
- 37.25 deg, I = 34
- 37.53 deg, I = 20
- 39.29 deg, I = 15
- 50.56 deg, I = 35
- 57.24 deg, I = 19

Crystal structure
a = 7.7329 Å, b = 7.7329 Å, c = 10.1036 Å
α = 90.00°, β = 90.00°, γ = 90.47°
Atoms (fractional coordinates):
Cs: 0.0006 0.4994 0.7500
Cs: 0.0009 0.9991 0.8209
Cs: 0.4994 0.0006 0.2500
Cs: 0.4991 0.5009 0.3209
Cs: 0.5009 0.4991 0.6791
Cs: 0.5006 0.9994 0.7500
Cs: 0.9991 0.0009 0.1791
Cs: 0.9994 0.5006 0.2500
Si: 0.1445 0.8555 0.4994
Si: 0.3555 0.6445 0.9994
Si: 0.6445 0.3555 0.0006
Si: 0.8555 0.1445 0.5006
P: 0.1527 0.1527 0.5000
P: 0.3473 0.3473 0.0000
P: 0.6527 0.6527 0.0000
P: 0.8473 0.8473 0.5000

=====

Starting from a crystal structure in Alexandria, relaxed with GGA-PBE, the XRD peak list of CsTl3F4 was simulated for a wavelength of 1.5418 Å.
Lines closer than 0.1° are merged.

The 12 most intense peaks (2θ = 10–90°), in order of rising 2θ:
- 26.68 deg, I = 100
- 30.91 deg, I = 81
- 44.28 deg, I = 60
- 52.45 deg, I = 50
- 54.97 deg, I = 21
- 64.41 deg, I = 10
- 70.99 deg, I = 18
- 73.13 deg, I = 22
- 81.46 deg, I = 13
- 81.57 deg, I = 7
- 87.59 deg, I = 11
- 87.69 deg, I = 6

Crystal structure
a = 4.0866 Å, b = 7.0899 Å, c = 7.0899 Å
α = 109.43°, β = 90.00°, γ = 90.00°
Atoms (fractional coordinates):
Cs: 0.0000 0.0000 0.0000
Tl: 0.0000 0.5001 0.5001
Tl: 0.5000 0.0000 0.5000
Tl: 0.5000 0.5000 0.0000
F: 0.0000 0.2551 0.7458
F: 0.0000 0.7458 0.2551
F: 0.5000 0.2616 0.2616
F: 0.5000 0.7384 0.7384

=====

Starting from a crystal structure in Alexandria, relaxed with GGA-PBE, the XRD peak list of Sr2LaNp3N8 was simulated for a wavelength of 1.5418 Å.
Lines closer than 0.1° are merged.

The 12 most intense peaks (2θ = 10–90°), in order of rising 2θ:
- 15.13 deg, I = 83
- 15.52 deg, I = 22
- 25.07 deg, I = 37
- 29.41 deg, I = 48
- 29.83 deg, I = 68
- 30.03 deg, I = 100
- 31.33 deg, I = 79
- 36.10 deg, I = 46
- 47.09 deg, I = 28
- 47.51 deg, I = 29
- 51.46 deg, I = 40
- 52.50 deg, I = 44

Crystal structure
a = 7.1056 Å, b = 7.1056 Å, c = 7.1056 Å
α = 58.76°, β = 58.76°, γ = 58.76°
Atoms (fractional coordinates):
Sr: 0.0000 0.0000 0.0000
Sr: 0.3802 0.3802 0.3802
La: 0.6079 0.6079 0.6079
Np: 0.9998 0.9998 0.4977
Np: 0.9998 0.4977 0.9998
Np: 0.4977 0.9998 0.9998
N: 0.1896 0.7479 0.7479
N: 0.2269 0.2269 0.2269
N: 0.2504 0.2504 0.8199
N: 0.2504 0.8199 0.2504
N: 0.7479 0.1896 0.7479
N: 0.7479 0.7479 0.1896
N: 0.7694 0.7694 0.7694
N: 0.8199 0.2504 0.2504

=====

Starting from a crystal structure in Alexandria, relaxed with GGA-PBE, the XRD peak list of La2Er2Tl3 was simulated for a wavelength of 1.5418 Å.
Lines closer than 0.1° are merged.

The 12 most intense peaks (2θ = 10–90°), in order of rising 2θ:
- 17.07 deg, I = 11
- 32.36 deg, I = 27
- 33.26 deg, I = 100
- 33.38 deg, I = 25
- 47.18 deg, I = 19
- 48.32 deg, I = 9
- 58.29 deg, I = 20
- 59.36 deg, I = 9
- 59.59 deg, I = 19
- 60.00 deg, I = 9
- 69.84 deg, I = 12
- 78.72 deg, I = 9

Crystal structure
a = 8.4624 Å, b = 8.4624 Å, c = 8.4624 Å
α = 143.01°, β = 141.84°, γ = 54.20°
Atoms (fractional coordinates):
La: 0.1256 0.1256 0.0000
La: 0.8744 0.8744 0.0000
Er: 0.3816 0.3816 0.0000
Er: 0.6184 0.6184 0.0000
Tl: 0.2487 0.7487 0.5000
Tl: 0.5000 0.0000 0.5000
Tl: 0.7513 0.2513 0.5000

=====

Starting from a crystal structure in Alexandria, relaxed with GGA-PBE, the XRD peak list of Sm5Dy3P8 was simulated for a wavelength of 1.5418 Å.
Lines closer than 0.1° are merged.

The 10 most intense peaks (2θ = 10–90°), in order of rising 2θ:
- 26.83 deg, I = 84
- 31.07 deg, I = 100
- 44.52 deg, I = 73
- 52.74 deg, I = 41
- 55.28 deg, I = 26
- 64.79 deg, I = 12
- 71.43 deg, I = 17
- 73.59 deg, I = 33
- 82.01 deg, I = 25
- 88.20 deg, I = 13

Crystal structure
a = 8.1406 Å, b = 8.1406 Å, c = 8.1406 Å
α = 60.00°, β = 60.00°, γ = 60.00°
Atoms (fractional coordinates):
Sm: 0.0000 0.0000 0.0000
Sm: 0.0000 0.5000 0.5000
Sm: 0.5000 0.0000 0.5000
Sm: 0.5000 0.5000 0.0000
Sm: 0.5000 0.5000 0.5000
Dy: 0.0000 0.0000 0.5000
Dy: 0.0000 0.5000 0.0000
Dy: 0.5000 0.0000 0.0000
P: 0.2459 0.7500 0.7500
P: 0.2480 0.2480 0.2480
P: 0.2500 0.2500 0.7541
P: 0.2500 0.7541 0.2500
P: 0.7500 0.2459 0.7500
P: 0.7500 0.7500 0.2459
P: 0.7520 0.7520 0.7520
P: 0.7541 0.2500 0.2500

=====

Starting from a crystal structure in Alexandria, relaxed with GGA-PBE, the XRD peak list of TaCdP was simulated for a wavelength of 1.5418 Å.
Lines closer than 0.1° are merged.

The 12 most intense peaks (2θ = 10–90°), in order of rising 2θ:
- 22.56 deg, I = 32
- 26.00 deg, I = 21
- 31.83 deg, I = 19
- 34.48 deg, I = 100
- 36.91 deg, I = 62
- 37.34 deg, I = 20
- 39.67 deg, I = 34
- 43.86 deg, I = 32
- 47.89 deg, I = 17
- 52.90 deg, I = 16
- 53.51 deg, I = 24
- 62.08 deg, I = 18

Crystal structure
a = 3.4619 Å, b = 6.8540 Å, c = 4.8166 Å
α = 90.00°, β = 90.00°, γ = 90.00°
Atoms (fractional coordinates):
Ta: 0.0000 0.0974 0.0000
Ta: 0.5000 0.9026 0.5000
Cd: 0.0000 0.5505 0.3557
Cd: 0.5000 0.4495 0.8557
P: 0.0000 0.1643 0.4985
P: 0.5000 0.8357 0.9985

=====

Starting from a crystal structure in Alexandria, relaxed with GGA-PBE, the XRD peak list of K14NaO was simulated for a wavelength of 1.5418 Å.
Lines closer than 0.1° are merged.

The 12 most intense peaks (2θ = 10–90°), in order of rising 2θ:
- 12.02 deg, I = 6
- 20.33 deg, I = 17
- 22.29 deg, I = 6
- 22.56 deg, I = 7
- 24.18 deg, I = 100
- 24.83 deg, I = 27
- 28.68 deg, I = 16
- 30.24 deg, I = 15
- 38.29 deg, I = 9
- 39.51 deg, I = 10
- 42.80 deg, I = 10
- 43.33 deg, I = 14

Crystal structure
a = 11.8246 Å, b = 9.4975 Å, c = 9.4975 Å
α = 81.94°, β = 90.00°, γ = 90.00°
Atoms (fractional coordinates):
K: 0.0000 0.0000 0.0000
K: 0.0000 0.4914 0.4914
K: 0.0000 0.5007 0.9829
K: 0.0000 0.9829 0.5007
K: 0.2805 0.2728 0.2728
K: 0.2838 0.2029 0.7682
K: 0.2838 0.7682 0.2029
K: 0.2960 0.7112 0.7112
K: 0.5000 0.0440 0.4266
K: 0.5000 0.4266 0.0440
K: 0.7040 0.7112 0.7112
K: 0.7162 0.2029 0.7682
K: 0.7162 0.7682 0.2029
K: 0.7195 0.2728 0.2728
Na: 0.5000 0.4485 0.4485
O: 0.5000 0.2940 0.2940